Record 1
Starting from a crystal structure in OQMD, relaxed with GGA-PBE, the X-ray powder pattern of In4PdPt3 was computed for Cu Kα (λ = 1.5418 Å).

The 12 most intense peaks (10° ≤ 2θ ≤ 80°), by intensity:
d 2.356, rel. 100
d 2.363, rel. 100
d 2.152, rel. 77
d 1.408, rel. 36
d 2.638, rel. 28
d 2.161, rel. 21
d 1.415, rel. 19
d 1.411, rel. 18
d 1.589, rel. 16
d 1.757, rel. 15
d 1.319, rel. 15
d 3.726, rel. 14

Cell and atoms:
Lattice parameters (Å, degrees): 5.2770 5.2770 5.2770 89.78 89.78 89.78
Atoms (fractional coordinates):
In 0.0000 0.0000 0.0000
In 0.3141 0.5006 0.8156
In 0.5006 0.8156 0.3141
In 0.8156 0.3141 0.5006
Pd 0.3077 0.3077 0.3077
Pt 0.0089 0.8068 0.5052
Pt 0.5052 0.0089 0.8068
Pt 0.8068 0.5052 0.0089

***

Record 2
Starting from a crystal structure in OQMD, relaxed with GGA-PBE, the X-ray powder pattern of InSbPd4Pt was computed for Cu Kα (λ = 1.5418 Å).

The 12 most intense peaks (10° ≤ 2θ ≤ 80°), by intensity:
d 2.277, rel. 100
d 2.054, rel. 38
d 1.225, rel. 27
d 1.368, rel. 18
d 2.701, rel. 13
d 4.108, rel. 12
d 1.453, rel. 12
d 1.834, rel. 12
d 7.335, rel. 10
d 2.736, rel. 9
d 1.573, rel. 5
d 2.445, rel. 5

Cell and atoms:
Lattice parameters (Å, degrees): 4.1083 4.1083 7.3346 90.00 90.00 90.00
Atoms (fractional coordinates):
In 0.0000 0.0000 0.0000
Sb 0.5000 0.5000 0.5000
Pd 0.0000 0.5000 0.2704
Pd 0.0000 0.5000 0.7296
Pd 0.5000 0.0000 0.2704
Pd 0.5000 0.0000 0.7296
Pt 0.5000 0.5000 0.0000